Record 1
Theoretical powder diffraction line list
Compound: Tl7In2Pb
Radiation: Cu Kα
Structure: a DFT-relaxed cell (GGA-PBE, Alexandria)

Largest 10 diffraction maxima, low angle first, 10° ≤ 2θ ≤ 90°:
d 3.523, I 53; d 3.207, I 26; d 2.892, I 85; d 2.790, I 54; d 2.778, I 29; d 2.552, I 22; d 2.541, I 22; d 2.438, I 100; d 2.398, I 22; d 1.638, I 25

Atomic structure:
```
Tl7In2Pb
1.0
4.8702 -10.2069 0.0000
4.8702 10.2069 0.0000
0.0000 0.0000 3.3815
Tl In Pb
7 2 1
Direct
0.0000 0.0000 0.0000
0.1444 0.8556 0.5000
0.1874 0.4009 0.0000
0.4009 0.1874 0.0000
0.5991 0.8126 0.0000
0.8126 0.5991 0.0000
0.8556 0.1444 0.5000
0.2769 0.7231 0.0000
0.7231 0.2769 0.0000
0.5000 0.5000 0.5000
```

Record 2
Theoretical powder diffraction line list
Compound: Tl3In6Pb2
Radiation: Cu Kα
Structure: a DFT-relaxed cell (GGA-PBE, Alexandria)

Largest 10 diffraction maxima, low angle first, 10° ≤ 2θ ≤ 90°:
d 2.843, I 35; d 2.809, I 100; d 2.440, I 68; d 1.733, I 24; d 1.718, I 23; d 1.480, I 15; d 1.470, I 28; d 1.466, I 14; d 1.405, I 12; d 1.115, I 12

Atomic structure:
```
Tl3In6Pb2
1.0
1.7179 0.9918 31.2689
-1.7179 0.9918 31.2689
0.0000 -1.9836 31.2689
Tl In Pb
3 6 2
Direct
0.0000 0.0000 0.0000
0.2727 0.2727 0.2727
0.7273 0.7273 0.7273
0.0908 0.0908 0.0908
0.1812 0.1812 0.1812
0.3638 0.3638 0.3638
0.6362 0.6362 0.6362
0.8188 0.8188 0.8188
0.9092 0.9092 0.9092
0.4547 0.4547 0.4547
0.5453 0.5453 0.5453
```

Record 3
Theoretical powder diffraction line list
Compound: Tl2In2Pb3
Radiation: Cu Kα
Structure: a DFT-relaxed cell (GGA-PBE, Alexandria)

Largest 10 diffraction maxima, low angle first, 10° ≤ 2θ ≤ 90°:
d 2.884, I 100; d 2.824, I 93; d 2.649, I 44; d 2.496, I 34; d 2.305, I 23; d 1.817, I 29; d 1.693, I 18; d 1.581, I 20; d 1.505, I 14; d 1.483, I 27

Atomic structure:
```
Tl2In2Pb3
1.0
4.9914 0.0000 0.0000
0.0000 24.7349 0.0000
0.0000 0.0000 3.4576
Tl In Pb
4 4 6
Direct
0.0000 0.1477 0.0000
0.0000 0.8523 0.0000
0.5000 0.3523 0.0000
0.5000 0.6477 0.0000
0.0000 0.2871 0.5000
0.0000 0.7129 0.5000
0.5000 0.2129 0.5000
0.5000 0.7871 0.5000
0.0000 0.0000 0.0000
0.0000 0.4287 0.5000
0.0000 0.5713 0.5000
0.5000 0.0713 0.5000
0.5000 0.5000 0.0000
0.5000 0.9287 0.5000
```

Record 4
Theoretical powder diffraction line list
Compound: Tl2In8Pb3
Radiation: Cu Kα
Structure: a DFT-relaxed cell (GGA-PBE, Alexandria)

Largest 10 diffraction maxima, low angle first, 10° ≤ 2θ ≤ 90°:
d 2.779, I 100; d 2.758, I 98; d 2.568, I 41; d 2.482, I 38; d 2.193, I 23; d 1.785, I 28; d 1.644, I 19; d 1.524, I 16; d 1.513, I 15; d 1.484, I 15

Atomic structure:
```
Tl2In8Pb3
1.0
7.0350 0.0000 0.0000
0.0000 4.9648 0.0000
-0.4452 0.0000 11.2070
Tl In Pb
2 8 3
Direct
0.2484 0.0000 0.4363
0.7516 0.0000 0.5637
0.1450 0.5000 0.2247
0.1596 0.0000 0.7162
0.4218 0.0000 0.1473
0.4319 0.5000 0.6360
0.5681 0.5000 0.3640
0.5782 0.0000 0.8527
0.8404 0.0000 0.2838
0.8550 0.5000 0.7753
0.0000 0.0000 0.0000
0.2890 0.5000 0.9251
0.7110 0.5000 0.0749
```

Record 5
Theoretical powder diffraction line list
Compound: Tl7In5Pb
Radiation: Cu Kα
Structure: a DFT-relaxed cell (GGA-PBE, Alexandria)

Largest 10 diffraction maxima, low angle first, 10° ≤ 2θ ≤ 90°:
d 3.245, I 27; d 3.032, I 62; d 2.873, I 25; d 2.826, I 100; d 2.784, I 76; d 2.768, I 64; d 2.675, I 62; d 2.525, I 18; d 1.664, I 18; d 1.647, I 18

Atomic structure:
```
Tl7In5Pb
1.0
6.7759 -5.4225 0.0000
6.7759 5.4225 0.0000
-1.6143 0.0000 5.3792
Tl In Pb
7 5 1
Direct
0.0000 0.0000 0.0000
0.0273 0.7319 0.4063
0.1722 0.5304 0.8996
0.5304 0.1722 0.8996
0.5817 0.5817 0.1902
0.7319 0.0273 0.4063
0.7545 0.7545 0.8027
0.1430 0.1430 0.6325
0.3746 0.7784 0.6958
0.3761 0.9577 0.2511
0.7784 0.3746 0.6958
0.9577 0.3761 0.2511
0.3667 0.3667 0.4179
```

Record 6
Theoretical powder diffraction line list
Compound: TlIn8Pb3
Radiation: Cu Kα
Structure: a DFT-relaxed cell (GGA-PBE, Alexandria)

Largest 10 diffraction maxima, low angle first, 10° ≤ 2θ ≤ 90°:
d 4.590, I 95; d 3.100, I 48; d 3.062, I 78; d 3.050, I 74; d 2.932, I 90; d 2.886, I 50; d 2.504, I 52; d 2.469, I 100; d 2.451, I 90; d 1.582, I 52

Atomic structure:
```
TlIn8Pb3
1.0
5.8655 -5.7721 0.0000
5.8655 5.7721 0.0000
-0.0701 0.0000 5.5640
Tl In Pb
1 8 3
Direct
0.0000 0.0000 0.0000
0.1811 0.3224 0.2496
0.2018 0.6976 0.2472
0.3024 0.7982 0.7528
0.5013 0.0022 0.2466
0.6776 0.8189 0.7504
0.6987 0.1949 0.7486
0.8051 0.3013 0.2514
0.9978 0.4987 0.7534
0.3119 0.1853 0.7497
0.5013 0.4987 0.5000
0.8147 0.6881 0.2503
```

Record 7
Theoretical powder diffraction line list
Compound: Tl4In3Pb
Radiation: Cu Kα
Structure: a DFT-relaxed cell (GGA-PBE, Alexandria)

Largest 10 diffraction maxima, low angle first, 10° ≤ 2θ ≤ 90°:
d 2.779, I 68; d 2.753, I 100; d 2.740, I 33; d 1.972, I 13; d 1.941, I 25; d 1.601, I 13; d 1.598, I 13; d 1.589, I 13; d 1.584, I 25; d 1.226, I 11

Atomic structure:
```
Tl4In3Pb
1.0
16.6422 0.0000 0.0000
0.0000 5.4804 0.0000
-1.7518 0.0000 5.2134
Tl In Pb
8 6 2
Direct
0.1225 0.0000 0.1205
0.2491 0.0000 0.7485
0.2509 0.5000 0.2515
0.3775 0.5000 0.8795
0.6225 0.5000 0.1205
0.7491 0.5000 0.7485
0.7509 0.0000 0.2515
0.8775 0.0000 0.8795
0.0000 0.5000 0.0000
0.1214 0.5000 0.6215
0.3786 0.0000 0.3785
0.5000 0.0000 0.0000
0.6214 0.0000 0.6215
0.8786 0.5000 0.3785
0.0000 0.0000 0.5000
0.5000 0.5000 0.5000
```

Record 8
Theoretical powder diffraction line list
Compound: Tl2In7Pb3
Radiation: Cu Kα
Structure: a DFT-relaxed cell (GGA-PBE, Alexandria)

Largest 10 diffraction maxima, low angle first, 10° ≤ 2θ ≤ 90°:
d 2.808, I 76; d 2.794, I 100; d 2.748, I 34; d 2.714, I 54; d 2.705, I 27; d 2.683, I 25; d 2.668, I 20; d 2.502, I 26; d 1.743, I 21; d 1.466, I 25

Atomic structure:
```
Tl2In7Pb3
1.0
5.4106 0.0000 0.0000
0.0000 3.4863 0.0000
-0.2682 0.0000 18.9848
Tl In Pb
2 7 3
Direct
0.2250 0.0000 0.2945
0.7750 0.0000 0.7055
0.2076 0.5000 0.1420
0.2469 0.0000 0.4620
0.2861 0.0000 0.8218
0.5000 0.5000 0.0000
0.7140 0.0000 0.1782
0.7531 0.0000 0.5380
0.7924 0.5000 0.8580
0.0000 0.0000 0.0000
0.2663 0.5000 0.6220
0.7337 0.5000 0.3780
```

Record 9
Theoretical powder diffraction line list
Compound: Tl6In7Pb16
Radiation: Cu Kα
Structure: a DFT-relaxed cell (GGA-PBE, Alexandria)

Largest 10 diffraction maxima, low angle first, 10° ≤ 2θ ≤ 90°:
d 3.180, I 14; d 2.998, I 62; d 2.754, I 100; d 2.633, I 21; d 1.836, I 14; d 1.710, I 13; d 1.633, I 15; d 1.590, I 16; d 1.565, I 19; d 1.164, I 12

Atomic structure:
```
Tl6In7Pb16
1.0
0.0000 7.7883 7.7883
7.7883 0.0000 7.7883
7.7883 7.7883 0.0000
Tl In Pb
6 7 16
Direct
0.2101 0.2101 0.7899
0.2101 0.7899 0.2101
0.2101 0.7899 0.7899
0.7899 0.2101 0.2101
0.7899 0.2101 0.7899
0.7899 0.7899 0.2101
0.0000 0.0000 0.5000
0.0000 0.5000 0.0000
0.0000 0.5000 0.5000
0.5000 0.0000 0.0000
0.5000 0.0000 0.5000
0.5000 0.5000 0.0000
0.5000 0.5000 0.5000
0.1432 0.6189 0.6189
0.1647 0.1647 0.1647
0.1647 0.1647 0.5059
0.1647 0.5059 0.1647
0.3811 0.3811 0.3811
0.3811 0.3811 0.8568
0.3811 0.8568 0.3811
0.4941 0.8353 0.8353
0.5059 0.1647 0.1647
0.6189 0.1432 0.6189
0.6189 0.6189 0.1432
0.6189 0.6189 0.6189
0.8353 0.4941 0.8353
0.8353 0.8353 0.4941
0.8353 0.8353 0.8353
0.8568 0.3811 0.3811
```

Record 10
Theoretical powder diffraction line list
Compound: Tl4In12Pb
Radiation: Cu Kα
Structure: a DFT-relaxed cell (GGA-PBE, Alexandria)

Largest 10 diffraction maxima, low angle first, 10° ≤ 2θ ≤ 90°:
d 3.643, I 54; d 3.259, I 100; d 2.754, I 45; d 2.304, I 54; d 2.103, I 64; d 2.021, I 48; d 1.629, I 23; d 1.487, I 18; d 1.214, I 19; d 1.198, I 16

Atomic structure:
```
Tl4In12Pb
1.0
7.2895 4.2086 2.9721
-7.2895 4.2086 2.9721
0.0000 -8.4172 2.9721
Tl In Pb
4 12 1
Direct
0.0000 0.0000 0.0000
0.0000 0.5000 0.5000
0.5000 0.0000 0.5000
0.5000 0.5000 0.0000
0.0043 0.1488 0.3554
0.1488 0.3554 0.0043
0.1486 0.6443 0.2933
0.2933 0.1486 0.6443
0.3554 0.0043 0.1488
0.3557 0.7067 0.8514
0.6443 0.2933 0.1486
0.6446 0.9957 0.8512
0.7067 0.8514 0.3557
0.8514 0.3557 0.7067
0.8512 0.6446 0.9957
0.9957 0.8512 0.6446
0.5000 0.5000 0.5000
```

Record 11
Theoretical powder diffraction line list
Compound: Tm4InPb
Radiation: Cu Kα
Structure: a DFT-relaxed cell (GGA-PBE, Alexandria)

Largest 10 diffraction maxima, low angle first, 10° ≤ 2θ ≤ 90°:
d 4.174, I 24; d 3.615, I 15; d 2.556, I 100; d 2.180, I 13; d 1.807, I 18; d 1.659, I 6; d 1.617, I 6; d 1.476, I 37; d 1.278, I 11; d 1.144, I 11

Atomic structure:
```
Tm4InPb
1.0
-3.6165 3.6165 7.2238
3.6165 -3.6165 7.2238
3.6165 3.6165 -7.2238
Tm In Pb
8 2 2
Direct
0.0000 0.2442 0.2442
0.0000 0.7558 0.7558
0.2442 0.0000 0.7442
0.2442 0.5000 0.2442
0.5000 0.2442 0.7442
0.5000 0.7558 0.2558
0.7558 0.0000 0.2558
0.7558 0.5000 0.7558
0.1250 0.8750 0.2500
0.8750 0.1250 0.7500
0.3750 0.6250 0.7500
0.6250 0.3750 0.2500
```

Record 12
Theoretical powder diffraction line list
Compound: Tm4In2Pb3
Radiation: Cu Kα
Structure: a DFT-relaxed cell (GGA-PBE, Alexandria)

Largest 10 diffraction maxima, low angle first, 10° ≤ 2θ ≤ 90°:
d 2.811, I 100; d 2.802, I 99; d 2.678, I 87; d 2.670, I 86; d 2.662, I 86; d 2.447, I 69; d 2.098, I 44; d 1.811, I 27; d 1.594, I 37; d 1.590, I 36

Atomic structure:
```
Tm4In2Pb3
1.0
4.8945 0.0000 0.0000
2.4182 4.8157 0.0000
0.0540 1.3132 10.4970
Tm In Pb
4 2 3
Direct
0.0075 0.4859 0.1709
0.3266 0.8464 0.6140
0.6734 0.1536 0.3860
0.9925 0.5141 0.8291
0.3438 0.8125 0.2861
0.6562 0.1875 0.7139
0.0000 0.5000 0.5000
0.3310 0.8368 0.9415
0.6690 0.1632 0.0585
```